The following is a theoretical X-ray diffraction stick pattern of Li4Mn3V2Fe3O16. It was derived from a DFT-relaxed cell (GGA+U, Alexandria), using Cu Kα X-rays.

Largest 8 diffraction maxima, in order of rising 2θ, 10° ≤ 2θ ≤ 80°:
d = 4.757 Å, 18.65°, intensity 100
d = 4.568 Å, 19.43°, intensity 26
d = 4.531 Å, 19.59°, intensity 28
d = 4.499 Å, 19.73°, intensity 75
d = 2.499 Å, 35.94°, intensity 39
d = 2.475 Å, 36.30°, intensity 28
d = 2.250 Å, 40.08°, intensity 32
d = 1.990 Å, 45.60°, intensity 34

Atomic structure:
Cell: 5.873 5.900 9.516 Å, 89.03 89.91 60.91°
Fractional positions:
1 Li 0.000 0.000 0.000
2 Li 0.006 0.989 0.500
3 Li 0.342 0.340 0.404
4 Li 0.669 0.684 0.904
5 Mn 0.176 0.657 0.722
6 Mn 0.668 0.177 0.720
7 Mn 0.834 0.833 0.220
8 V 0.330 0.336 0.994
9 V 0.678 0.663 0.495
10 Fe 0.179 0.165 0.718
11 Fe 0.343 0.832 0.221
12 Fe 0.831 0.345 0.220
13 O 0.001 0.000 0.313
14 O 0.004 0.988 0.811
15 O 0.041 0.486 0.845
16 O 0.160 0.674 0.108
17 O 0.171 0.180 0.097
18 O 0.340 0.825 0.605
19 O 0.341 0.346 0.614
20 O 0.455 0.514 0.858
21 O 0.489 0.053 0.850
22 O 0.531 0.525 0.357
23 O 0.537 0.963 0.349
24 O 0.668 0.169 0.104
25 O 0.671 0.680 0.112
26 O 0.840 0.323 0.600
27 O 0.855 0.798 0.599
28 O 0.968 0.532 0.345